Starting from a crystal structure in Alexandria, relaxed with PBE, the X-ray diffraction stick pattern of Cs2PdO2 was calculated for Cu Kα (λ = 1.5418 Å).

Principal peaks in the range 10° ≤ 2θ ≤ 90°, by angle:
| 2θ/deg | Rel. int. |
| --- | --- |
| 25.3 | 47 |
| 26.7 | 100 |
| 28.5 | 30 |
| 28.9 | 68 |
| 29.4 | 45 |
| 34.1 | 20 |
| 41.0 | 21 |
| 45.3 | 18 |
| 52.1 | 21 |
| 55.0 | 19 |

Crystal structure
```
10
Lattice="6.444 -3.088 0.000 6.444 3.088 0.000 -4.866 0.000 6.762" Properties=species:S:1:pos:R:3 pbc="T T T"
Cs -0.737 0.000 1.905
Cs -0.337 0.000 6.065
Cs 8.360 0.000 0.697
Cs 8.760 0.000 4.857
Pd 3.036 0.000 2.594
Pd 4.987 0.000 4.168
O 2.000 0.000 0.918
O 2.882 0.000 4.560
O 5.141 0.000 2.203
O 6.023 0.000 5.844
```